1.
Starting from a GGA-PBE-relaxed structure, the X-ray diffraction stick pattern of Pr8TlAu2 was calculated for Cu Ka.

Structure:
Lattice parameters (Å, degrees): 9.3622 9.3622 8.1783 112.96 112.96 31.98
Sites, in units of the cell vectors:
Pr1 0.0443 0.0443 0.2615
Pr2 0.1859 0.1859 0.7857
Pr3 0.3205 0.3205 0.5302
Pr4 0.4088 0.4088 0.0399
Pr5 0.5912 0.5912 0.9601
Pr6 0.6795 0.6795 0.4698
Pr7 0.8141 0.8141 0.2143
Pr8 0.9557 0.9557 0.7385
Tl1 0.5000 0.5000 0.5000
Au1 0.1911 0.1911 0.1578
Au2 0.8089 0.8089 0.8422

Principal peaks in the range 15 to 90 degrees two-theta, by angle:
Position (°2θ)	Rel. int.
28.17	22.8
30.29	100.0
31.77	92.1
33.00	30.0
33.65	27.9
34.78	61.0
49.18	25.7
59.36	22.0


2.
Starting from a GGA-PBE-relaxed structure, the X-ray diffraction stick pattern of Pr5Tl2Au was calculated for Cu Ka.

Structure:
Lattice parameters (Å, degrees): 6.8427 6.8427 7.2850 122.13 122.13 64.32
Sites, in units of the cell vectors:
Pr1 0.0000 0.0000 0.0000
Pr2 0.0077 0.5043 0.0080
Pr3 0.0083 0.5044 0.5047
Pr4 0.5043 0.0077 0.0080
Pr5 0.5044 0.0083 0.5047
Tl1 0.0058 0.0058 0.5058
Tl2 0.5058 0.5058 0.0065
Au1 0.5298 0.5298 0.5294

Principal peaks in the range 15 to 90 degrees two-theta, by angle:
Position (°2θ)	Rel. int.
31.58	100.0
34.83	39.1
40.01	12.7
50.09	14.1
54.08	21.3
60.43	31.7
65.95	11.7
88.55	10.4


3.
Starting from a GGA-PBE-relaxed structure, the X-ray diffraction stick pattern of Pr5Tl2Au was calculated for Cu Ka.

Structure:
Lattice parameters (Å, degrees): 7.0444 13.5373 5.2176 90.00 90.00 90.00
Sites, in units of the cell vectors:
Pr1 0.0000 0.0000 0.0000
Pr2 0.1085 0.2804 0.0000
Pr3 0.1775 0.5957 0.5000
Pr4 0.3225 0.0957 0.5000
Pr5 0.3915 0.7804 0.0000
Pr6 0.5000 0.5000 0.0000
Pr7 0.6085 0.2196 0.0000
Pr8 0.6775 0.9043 0.5000
Pr9 0.8225 0.4043 0.5000
Pr10 0.8915 0.7196 0.0000
Tl1 0.1357 0.8495 0.5000
Tl2 0.3643 0.3495 0.5000
Tl3 0.6357 0.6505 0.5000
Tl4 0.8643 0.1505 0.5000
Au1 0.0000 0.5000 0.0000
Au2 0.5000 0.0000 0.0000

Principal peaks in the range 15 to 90 degrees two-theta, by angle:
Position (°2θ)	Rel. int.
29.28	23.6
30.62	36.5
31.35	90.9
31.51	100.0
32.24	26.5
34.38	58.7
47.85	22.7
59.74	31.0